Simulated powder XRD pattern
Compound: AlGa3N4
Radiation: Cu Kα (weighted mean of Kα1 and Kα2)
Structure: DFT lattice parameters and positions (PBE)
Lines closer than 0.1° are merged.

Crystal structure
abc: 5.191 3.193 5.529
angles: 90.00 90.04 90.00
Atoms (fractional coordinates):
Al  0.000  0.000  0.000
Ga  0.000  0.500  0.499
Ga  0.499  0.000  0.668
Ga  0.499  0.500  0.164
N  0.116  0.500  0.158
N  0.119  0.000  0.674
N  0.620  0.500  0.499
N  0.632  0.000  0.000

Top 10 peaks for 2θ from 15° to 90°, low angle first:
two_theta, I (rel.)
16.0, 7
23.5, 6
32.4, 51
34.6, 38
36.8, 100
48.1, 24
57.8, 32
63.4, 33
69.1, 28
70.5, 15



Simulated powder XRD pattern
Compound: Lu3Mn2Ga4
Radiation: Cu Kα (weighted mean of Kα1 and Kα2)
Structure: DFT lattice parameters and positions (PBE)
Lines closer than 0.1° are merged.

Crystal structure
abc: 7.507 7.507 3.532
angles: 90.00 90.00 120.00
Atoms (fractional coordinates):
Lu  0.000  0.381  0.000
Lu  0.381  0.000  0.000
Lu  0.619  0.619  0.000
Mn  0.333  0.667  0.500
Mn  0.667  0.333  0.500
Ga  0.000  0.000  0.000
Ga  0.000  0.711  0.500
Ga  0.289  0.289  0.500
Ga  0.711  0.000  0.500

Top 10 peaks for 2θ from 15° to 90°, low angle first:
two_theta, I (rel.)
23.7, 27
34.9, 100
36.6, 19
37.6, 32
41.7, 45
51.8, 12
55.4, 15
68.3, 17
68.5, 20
78.4, 11



Simulated powder XRD pattern
Compound: LaSiBO5
Radiation: Cu Kα (weighted mean of Kα1 and Kα2)
Structure: DFT lattice parameters and positions (PBE)
Lines closer than 0.1° are merged.

Crystal structure
abc: 6.924 6.924 6.800
angles: 90.00 90.00 120.00
Atoms (fractional coordinates):
La  0.000  0.593  0.000
La  0.407  0.408  0.333
La  0.592  0.000  0.667
Si  0.000  0.584  0.499
Si  0.416  0.416  0.833
Si  0.584  0.000  0.166
B  0.010  0.113  0.020
B  0.103  0.990  0.686
B  0.887  0.897  0.353
O  0.051  0.045  0.210
O  0.140  0.533  0.339
O  0.154  0.808  0.641
O  0.192  0.346  0.975
O  0.336  0.191  0.689
O  0.393  0.860  0.005
O  0.467  0.607  0.672
O  0.539  0.142  0.330
O  0.604  0.461  0.997
O  0.654  0.846  0.308
O  0.809  0.144  0.022
O  0.856  0.664  0.356
O  0.858  0.396  0.664
O  0.955  0.006  0.543
O  0.994  0.949  0.877

Top 10 peaks for 2θ from 15° to 90°, low angle first:
two_theta, I (rel.)
19.7, 92
25.7, 93
29.8, 55
30.2, 100
39.8, 35
40.1, 27
42.0, 59
48.3, 69
55.2, 24
69.1, 21



Simulated powder XRD pattern
Compound: Ca2SiO4
Radiation: Cu Kα (weighted mean of Kα1 and Kα2)
Structure: DFT lattice parameters and positions (PBE)
Lines closer than 0.1° are merged.

Crystal structure
abc: 8.350 9.850 9.877
angles: 90.00 94.83 90.00
Atoms (fractional coordinates):
Ca  0.097  0.067  0.289
Ca  0.097  0.433  0.789
Ca  0.177  0.079  0.928
Ca  0.177  0.421  0.428
Ca  0.340  0.082  0.586
Ca  0.340  0.418  0.086
Ca  0.379  0.713  0.575
Ca  0.379  0.787  0.075
Ca  0.621  0.213  0.925
Ca  0.621  0.287  0.425
Ca  0.660  0.582  0.914
Ca  0.660  0.918  0.414
Ca  0.823  0.579  0.572
Ca  0.823  0.921  0.072
Ca  0.903  0.567  0.211
Ca  0.903  0.933  0.711
Si  0.023  0.703  0.930
Si  0.023  0.797  0.430
Si  0.459  0.073  0.199
Si  0.459  0.427  0.699
Si  0.541  0.573  0.301
Si  0.541  0.927  0.801
Si  0.977  0.203  0.570
Si  0.977  0.297  0.070
O  0.047  0.131  0.714
O  0.047  0.369  0.214
O  0.062  0.634  0.408
O  0.062  0.866  0.908
O  0.130  0.199  0.473
O  0.130  0.301  0.973
O  0.179  0.620  0.002
O  0.179  0.880  0.502
O  0.283  0.007  0.142
O  0.283  0.493  0.642
O  0.409  0.047  0.825
O  0.409  0.453  0.325
O  0.461  0.097  0.366
O  0.461  0.403  0.866
O  0.494  0.215  0.122
O  0.494  0.285  0.622
O  0.506  0.715  0.378
O  0.506  0.785  0.878
O  0.539  0.597  0.134
O  0.539  0.903  0.634
O  0.591  0.547  0.675
O  0.591  0.953  0.175
O  0.717  0.507  0.358
O  0.717  0.993  0.858
O  0.821  0.120  0.498
O  0.821  0.380  0.998
O  0.870  0.699  0.027
O  0.870  0.801  0.527
O  0.938  0.134  0.092
O  0.938  0.366  0.592
O  0.953  0.631  0.786
O  0.953  0.869  0.286

Top 10 peaks for 2θ from 15° to 90°, low angle first:
two_theta, I (rel.)
25.6, 43
26.9, 100
29.2, 77
30.1, 40
31.5, 45
32.8, 26
39.0, 27
45.5, 27
47.5, 32
56.0, 26



Simulated powder XRD pattern
Compound: CaTm2O4
Radiation: Cu Kα (weighted mean of Kα1 and Kα2)
Structure: DFT lattice parameters and positions (PBE)
Lines closer than 0.1° are merged.

Crystal structure
abc: 5.688 5.688 10.843
angles: 90.00 90.00 146.53
Atoms (fractional coordinates):
Ca  0.111  0.889  0.750
Ca  0.889  0.111  0.250
Tm  0.367  0.633  0.574
Tm  0.367  0.633  0.926
Tm  0.633  0.367  0.074
Tm  0.633  0.367  0.426
O  0.000  0.000  0.000
O  0.000  0.000  0.500
O  0.265  0.735  0.112
O  0.265  0.735  0.388
O  0.464  0.536  0.750
O  0.536  0.464  0.250
O  0.735  0.265  0.612
O  0.735  0.265  0.888

Top 10 peaks for 2θ from 15° to 90°, low angle first:
two_theta, I (rel.)
16.3, 36
18.2, 25
28.5, 27
29.7, 100
32.9, 23
37.0, 32
38.0, 39
40.7, 25
45.0, 23
56.8, 34



What did the fourth record say?
Simulated powder XRD pattern
Compound: Ca2SiO4
Radiation: Cu Kα (weighted mean of Kα1 and Kα2)
Structure: DFT lattice parameters and positions (PBE)
Lines closer than 0.1° are merged.

Crystal structure
abc: 8.350 9.850 9.877
angles: 90.00 94.83 90.00
Atoms (fractional coordinates):
Ca  0.097  0.067  0.289
Ca  0.097  0.433  0.789
Ca  0.177  0.079  0.928
Ca  0.177  0.421  0.428
Ca  0.340  0.082  0.586
Ca  0.340  0.418  0.086
Ca  0.379  0.713  0.575
Ca  0.379  0.787  0.075
Ca  0.621  0.213  0.925
Ca  0.621  0.287  0.425
Ca  0.660  0.582  0.914
Ca  0.660  0.918  0.414
Ca  0.823  0.579  0.572
Ca  0.823  0.921  0.072
Ca  0.903  0.567  0.211
Ca  0.903  0.933  0.711
Si  0.023  0.703  0.930
Si  0.023  0.797  0.430
Si  0.459  0.073  0.199
Si  0.459  0.427  0.699
Si  0.541  0.573  0.301
Si  0.541  0.927  0.801
Si  0.977  0.203  0.570
Si  0.977  0.297  0.070
O  0.047  0.131  0.714
O  0.047  0.369  0.214
O  0.062  0.634  0.408
O  0.062  0.866  0.908
O  0.130  0.199  0.473
O  0.130  0.301  0.973
O  0.179  0.620  0.002
O  0.179  0.880  0.502
O  0.283  0.007  0.142
O  0.283  0.493  0.642
O  0.409  0.047  0.825
O  0.409  0.453  0.325
O  0.461  0.097  0.366
O  0.461  0.403  0.866
O  0.494  0.215  0.122
O  0.494  0.285  0.622
O  0.506  0.715  0.378
O  0.506  0.785  0.878
O  0.539  0.597  0.134
O  0.539  0.903  0.634
O  0.591  0.547  0.675
O  0.591  0.953  0.175
O  0.717  0.507  0.358
O  0.717  0.993  0.858
O  0.821  0.120  0.498
O  0.821  0.380  0.998
O  0.870  0.699  0.027
O  0.870  0.801  0.527
O  0.938  0.134  0.092
O  0.938  0.366  0.592
O  0.953  0.631  0.786
O  0.953  0.869  0.286

Top 10 peaks for 2θ from 15° to 90°, low angle first:
two_theta, I (rel.)
25.6, 43
26.9, 100
29.2, 77
30.1, 40
31.5, 45
32.8, 26
39.0, 27
45.5, 27
47.5, 32
56.0, 26